The following is a simulated XRD peak list of BaSrTbTiO6. It was derived from a crystal structure in the Materials Project, relaxed with PBE, using Cu Kα X-rays.
No peak broadening, texture or thermal motion is included.

Largest 10 diffraction maxima, sorted by position, 10 to 80 degrees two-theta:
Position (°2θ), d/Å, I (rel.)
18.24, 4.864, 13.4
30.00, 2.979, 100.0
35.33, 2.541, 10.2
42.94, 2.106, 31.7
53.23, 1.721, 23.7
53.31, 1.718, 16.8
62.30, 1.490, 12.7
62.43, 1.488, 6.4
70.66, 1.333, 10.4
70.75, 1.332, 4.4

Cell: 5.9501 5.9623 8.4296 Å, 90.07 90.05 90.12°
Space group P-1 (No. 2)
Asymmetric unit:
1 Ba 0.0037 0.0007 0.2500 (multiplicity 2)
2 Sr 0.4959 0.4999 0.7499 (multiplicity 2)
3 Tb 0.0000 0.5000 0.0000 (multiplicity 1)
4 Tb 0.5000 0.0000 0.5000 (multiplicity 1)
5 Ti 0.0000 0.5000 0.5000 (multiplicity 1)
6 Ti 0.5000 0.0000 0.0000 (multiplicity 1)
7 O 0.0027 0.4744 0.7338 (multiplicity 2)
8 O 0.2232 0.7440 0.5144 (multiplicity 2)
9 O 0.2523 0.2841 0.4852 (multiplicity 2)
10 O 0.2556 0.7773 0.9853 (multiplicity 2)
11 O 0.2838 0.2518 0.0153 (multiplicity 2)
12 O 0.4988 0.9676 0.2337 (multiplicity 2)